Entry 1:
# TbEr8Sc3
Theoretical PXRD pattern, CuKα. Input: a GGA-PBE-relaxed structure.

Peak list (6 most intense, 2θ = 10–90°, low angle first)
| d_spacing | 2theta | intensity |
| --- | --- | --- |
| 3.735 | 23.82 | 50 |
| 2.641 | 33.94 | 100 |
| 2.156 | 41.89 | 15 |
| 1.866 | 48.81 | 12 |
| 1.669 | 55.01 | 14 |
| 1.525 | 60.74 | 37 |

Crystal structure
a = 9.157 Å, b = 9.157 Å, c = 9.157 Å
α = 131.91°, β = 131.91°, γ = 70.38°
Fractional positions:
Tb  0.000  0.000  0.000
Er  0.126  0.126  0.508
Er  0.126  0.619  0.000
Er  0.381  0.381  0.508
Er  0.381  0.874  0.000
Er  0.619  0.126  0.000
Er  0.619  0.619  0.492
Er  0.874  0.381  0.000
Er  0.874  0.874  0.492
Sc  0.250  0.750  0.500
Sc  0.500  0.500  0.000
Sc  0.750  0.250  0.500



Entry 2:
# Tb3Pm2Al4
Theoretical PXRD pattern, CuKα. Input: a GGA-PBE-relaxed structure.

Peak list (6 most intense, 2θ = 10–90°, low angle first)
| d_spacing | 2theta | intensity |
| --- | --- | --- |
| 3.602 | 24.72 | 84 |
| 3.063 | 29.16 | 74 |
| 2.985 | 29.94 | 75 |
| 2.503 | 35.88 | 45 |
| 2.435 | 36.91 | 100 |
| 1.471 | 63.19 | 38 |

Crystal structure
a = 10.335 Å, b = 10.335 Å, c = 7.739 Å
α = 90.00°, β = 90.00°, γ = 144.72°
Fractional positions:
Tb  0.000  0.000  0.000
Tb  0.001  0.499  0.250
Tb  0.499  0.001  0.750
Tb  0.500  0.500  0.500
Tb  0.501  0.999  0.250
Tb  0.999  0.501  0.750
Pm  0.089  0.911  0.398
Pm  0.411  0.589  0.898
Pm  0.589  0.411  0.102
Pm  0.911  0.089  0.602
Al  0.152  0.848  0.007
Al  0.163  0.337  0.250
Al  0.337  0.163  0.750
Al  0.348  0.652  0.507
Al  0.652  0.348  0.493
Al  0.663  0.837  0.250
Al  0.837  0.663  0.750
Al  0.848  0.152  0.993



Entry 3:
# Ac2GaN3
Theoretical PXRD pattern, CuKα. Input: a GGA-PBE-relaxed structure.

Peak list (6 most intense, 2θ = 10–90°, low angle first)
| d_spacing | 2theta | intensity |
| --- | --- | --- |
| 4.007 | 22.19 | 28 |
| 3.247 | 27.47 | 52 |
| 3.093 | 28.86 | 100 |
| 2.961 | 30.18 | 70 |
| 2.838 | 31.52 | 58 |
| 2.669 | 33.58 | 29 |

Crystal structure
a = 6.411 Å, b = 6.411 Å, c = 12.392 Å
α = 90.00°, β = 90.00°, γ = 124.99°
Fractional positions:
Ac  0.037  0.963  0.850
Ac  0.146  0.854  0.424
Ac  0.354  0.646  0.924
Ac  0.463  0.537  0.350
Ac  0.537  0.463  0.650
Ac  0.646  0.354  0.076
Ac  0.854  0.146  0.576
Ac  0.963  0.037  0.150
Ga  0.249  0.751  0.665
Ga  0.251  0.749  0.165
Ga  0.749  0.251  0.835
Ga  0.751  0.249  0.335
N  0.064  0.436  0.750
N  0.075  0.925  0.638
N  0.150  0.850  0.029
N  0.350  0.650  0.529
N  0.425  0.575  0.138
N  0.436  0.064  0.250
N  0.564  0.936  0.750
N  0.575  0.425  0.862
N  0.650  0.350  0.471
N  0.850  0.150  0.971
N  0.925  0.075  0.362
N  0.936  0.564  0.250



Entry 4:
# NbTe3O9
Theoretical PXRD pattern, CuKα. Input: a GGA-PBE-relaxed structure.

Peak list (6 most intense, 2θ = 10–90°, low angle first)
| d_spacing | 2theta | intensity |
| --- | --- | --- |
| 3.945 | 22.54 | 79 |
| 3.887 | 22.88 | 100 |
| 3.485 | 25.56 | 50 |
| 3.387 | 26.31 | 48 |
| 3.052 | 29.26 | 61 |
| 2.813 | 31.81 | 47 |

Crystal structure
a = 7.825 Å, b = 7.825 Å, c = 9.667 Å
α = 117.01°, β = 117.01°, γ = 53.87°
Fractional positions:
Nb  0.243  0.757  0.500
Nb  0.757  0.243  0.000
Te  0.155  0.679  0.039
Te  0.258  0.280  0.682
Te  0.280  0.258  0.182
Te  0.559  0.742  0.906
Te  0.679  0.155  0.539
Te  0.742  0.559  0.406
O  0.038  0.247  0.171
O  0.046  0.558  0.799
O  0.064  0.509  0.058
O  0.179  0.806  0.311
O  0.247  0.038  0.671
O  0.263  0.463  0.403
O  0.309  0.993  0.985
O  0.388  0.631  0.718
O  0.463  0.263  0.903
O  0.509  0.064  0.558
O  0.558  0.046  0.299
O  0.575  0.619  0.532
O  0.619  0.575  0.032
O  0.631  0.388  0.218
O  0.806  0.179  0.811
O  0.880  0.940  0.019
O  0.940  0.880  0.519
O  0.993  0.309  0.485



- What is the formula in the fourth record?
  NbTe3O9



- What is the formula in the second record?
  Tb3Pm2Al4